# TmAlGaCu6
Calculated powder X-ray diffraction pattern, Cu Ka. Input: a PBE-relaxed structure.

Structural model:
abc: 6.771 8.706 9.687
angles: 90.00 90.00 90.00
Space group Imma (No. 74)
Inequivalent atoms, fractional coordinates:
Tm: 0.000 0.250 0.214 x4
Al: 0.250 0.250 0.750 x4
Ga: 0.000 0.000 0.000 x4
Cu: 0.000 0.250 0.519 x4
Cu: 0.000 0.250 0.923 x4
Cu: 0.182 0.005 0.372 x16

Top 8 peaks for 2θ = 10–90°, sorted by position:
d/Å	intensity	index
6.475	54	0 1 1
3.000	37	2 1 1
2.672	96	2 2 0
2.422	100	1 2 3
2.257	51	2 1 3
2.176	82	0 4 0
2.116	45	0 2 4
1.970	35	2 0 4